The following is a computed powder XRD pattern of BaInBr5. It was derived from a structure optimized by DFT (GGA-PBE), using Cu Kα (λ = 1.5418 Å).

Atomic structure:
a = 8.066 Å, b = 8.066 Å, c = 11.839 Å
α = 110.59°, β = 110.59°, γ = 84.86°
Positions (direct):
Ba  0.000  0.000  0.000
Ba  0.000  0.000  0.500
In  0.421  0.579  0.750
In  0.579  0.421  0.250
Br  0.090  0.910  0.250
Br  0.243  0.375  0.178
Br  0.269  0.672  0.554
Br  0.328  0.731  0.946
Br  0.375  0.243  0.678
Br  0.625  0.757  0.322
Br  0.672  0.269  0.054
Br  0.731  0.328  0.446
Br  0.757  0.625  0.822
Br  0.910  0.090  0.750

Largest 12 diffraction maxima, by angle, 10 to 80 degrees two-theta:
2θ 16.29, d 5.443, I = 31
2θ 16.94, d 5.234, I = 89
2θ 17.05, d 5.199, I = 100
2θ 22.13, d 4.016, I = 55
2θ 24.14, d 3.687, I = 23
2θ 24.28, d 3.666, I = 23
2θ 26.01, d 3.426, I = 31
2θ 27.78, d 3.211, I = 33
2θ 28.86, d 3.093, I = 30
2θ 30.21, d 2.959, I = 31
2θ 34.27, d 2.617, I = 27
2θ 34.49, d 2.600, I = 39